# Rb2URu3O12
Calculated powder diffractogram, λ = 1.5418 Å (Cu Kα). Input: the PBE geometry in Alexandria.
Lines closer than 0.1° are merged.

Top 12 peaks for 2θ from 10° to 90°, low angle first:
Position (°2θ)	intensity	index
14.91	62	1 0 1
24.63	19	1 1 0
27.67	47	0 1 5
28.50	100	0 0 6
30.09	51	2 0 2
45.28	17	1 2 5
45.82	25	3 0 3
48.43	26	2 0 8
50.49	30	2 2 0
58.55	13	3 1 5
58.99	15	2 2 6
70.55	12	1 4 3

Structural model:
```
data_Rb2URu3O12
_space_group_name_H-M_alt 'R -3 m'
_space_group_IT_number 166
_space_group_name_Hall '-R 3 2"'
_cell_length_a 7.2300
_cell_length_b 7.2300
_cell_length_c 18.7994
_cell_angle_alpha 90.00
_cell_angle_beta 90.00
_cell_angle_gamma 120.00
loop_
_atom_site_label
_atom_site_fract_x
_atom_site_fract_y
_atom_site_fract_z
Rb1 0.0000 0.0000 0.1204
U1 0.0000 0.0000 0.5000
Ru1 0.0000 0.5000 0.0000
O1 0.0588 0.5294 0.1042
O2 0.0809 0.5405 0.3453
```